Structure and calculated powder X-ray diffraction pattern of Li3Mo3P4O16 (a DFT-relaxed cell (PBE+U, Alexandria); Cu Kα (λ = 1.5418 Å)).
Neutral-atom scattering factors, no anomalous dispersion.

Peak list (12 most intense, 10 to 90 degrees two-theta, by angle)
d/Å, 2θ (°), intensity
6.909, 12.81, 24.7
4.424, 20.07, 78.8
4.384, 20.26, 78.8
3.931, 22.62, 36.2
3.807, 23.36, 64.9
3.556, 25.04, 35.3
3.426, 26.01, 63.4
2.789, 32.09, 100.0
2.663, 33.65, 38.4
2.562, 35.02, 46.9
2.539, 35.36, 59.9
1.474, 63.05, 28.5

Crystal structure
```
Li3Mo3P4O16
1.0
8.8052 0.0000 0.0000
0.0000 5.1246 0.0000
-7.5234 0.0000 13.8177
Li Mo P O
6 6 8 32
direct
0.0000 0.0000 0.0000
0.0000 0.5000 0.5000
0.2605 0.0563 0.6115
0.2605 0.4437 0.1115
0.7395 0.5563 0.8885
0.7395 0.9437 0.3885
0.2184 0.5252 0.7189
0.2184 0.9748 0.2189
0.5000 0.0000 0.5000
0.5000 0.5000 0.0000
0.7816 0.0252 0.7811
0.7816 0.4748 0.2811
0.0651 0.5018 0.8888
0.0651 0.9982 0.3888
0.4693 0.0053 0.8498
0.4693 0.4947 0.3498
0.5307 0.5053 0.6502
0.5307 0.9947 0.1502
0.9349 0.0018 0.6112
0.9349 0.4982 0.1112
0.0254 0.7467 0.6036
0.0254 0.7533 0.1036
0.0548 0.2291 0.6129
0.0548 0.2709 0.1129
0.0835 0.5099 0.7979
0.0835 0.9901 0.2979
0.2410 0.5155 0.9836
0.2410 0.9845 0.4836
0.3407 0.0340 0.1292
0.3407 0.4660 0.6292
0.3453 0.5922 0.2458
0.3453 0.9078 0.7458
0.4288 0.1941 0.3548
0.4288 0.3059 0.8548
0.4337 0.6504 0.4205
0.4337 0.8496 0.9205
0.5663 0.1504 0.0795
0.5663 0.3496 0.5795
0.5712 0.6941 0.1452
0.5712 0.8059 0.6452
0.6547 0.0922 0.2542
0.6547 0.4078 0.7542
0.6593 0.5340 0.3708
0.6593 0.9660 0.8708
0.7590 0.0155 0.5164
0.7590 0.4845 0.0164
0.9165 0.0099 0.7021
0.9165 0.4901 0.2021
0.9452 0.7291 0.8871
0.9452 0.7709 0.3871
0.9746 0.2467 0.8964
0.9746 0.2533 0.3964
```